The following is a theoretical X-ray powder pattern of Na2Pm2MoO6. It was derived from the PBE+U geometry in Alexandria, using Cu Kα.
Peak positions follow from Bragg's law for the DFT cell and can differ from measured ones.

Crystal structure
abc: 5.9486 5.9486 5.9215
angles: 97.80 97.80 119.49
Fractional coordinates of all 11 atoms:
Na 0.1419 0.8581 0.0000
Na 0.8581 0.1419 0.0000
Pm 0.3373 0.6627 0.5000
Pm 0.6627 0.3373 0.5000
Mo 0.0000 0.0000 0.5000
O 0.0431 0.3482 0.6919
O 0.2477 0.2477 0.2962
O 0.3482 0.0431 0.6919
O 0.6518 0.9569 0.3081
O 0.7523 0.7523 0.7038
O 0.9569 0.6518 0.3081

Principal peaks in the range 10 to 80 degrees two-theta, by angle:
15.5°, I 100; 30.3°, I 29; 30.7°, I 17; 31.0°, I 16; 31.4°, I 17; 32.2°, I 27; 36.2°, I 46; 37.9°, I 21; 47.3°, I 15; 53.2°, I 14